Record 1
Structure and computed powder XRD pattern of CaRuO4 (a DFT-relaxed cell (PBE, Alexandria); copper Kα).
No peak broadening, texture or thermal motion is included.

Structural model:
Lattice parameters (Å, degrees): 7.4822 7.4822 6.5862 90.00 90.00 90.00
Space group I4_1/amd (No. 141, origin choice 2)
Unique sites:
Ca 0.0000 0.2500 0.3750 x4
Ru 0.0000 0.2500 0.8750 x4
O 0.0000 0.0651 0.7014 x16

Main lines, sorted by position (2θ = 10–90°):
d [Å]  intensity  h k l
4.944  32  1 0 1
3.741  100  2 0 0
2.983  35  2 1 1
2.796  63  1 1 2
2.645  16  2 2 0
1.922  58  3 1 2
1.871  17  4 0 0
1.673  12  4 2 0
1.555  18  3 3 2
1.507  17  2 0 4

Record 2
Structure and computed powder XRD pattern of SrCaRu2O6 (a DFT-relaxed cell (PBE, Alexandria); copper Kα).
No peak broadening, texture or thermal motion is included.

Structural model:
Lattice parameters (Å, degrees): 7.8551 5.5148 5.6266 90.00 90.00 90.00
Space group Pmc2_1 (No. 26)
Unique sites:
Sr 0.0000 0.2409 0.0000 x2
Ca 0.5000 0.2617 0.9034 x2
Ru 0.2546 0.2485 0.4571 x4
O 0.0000 0.3170 0.4486 x2
O 0.2180 0.0465 0.7514 x4
O 0.2999 0.4532 0.1629 x4
O 0.5000 0.1590 0.4822 x2

Main lines, sorted by position (2θ = 10–90°):
d [Å]  intensity  h k l
3.935  24  0 1 1
2.813  25  0 0 2
2.781  100  2 1 1
2.757  25  0 2 0
1.969  29  0 2 2
1.964  16  4 0 0
1.618  17  2 1 3
1.600  11  4 2 0
1.597  23  2 3 1
1.391  15  4 2 2

Record 3
Structure and computed powder XRD pattern of SrCa3Ru2O8 (a DFT-relaxed cell (PBE, Alexandria); copper Kα).
No peak broadening, texture or thermal motion is included.

Structural model:
Lattice parameters (Å, degrees): 5.3654 5.3655 25.5348 90.00 90.00 90.00
Space group Iba2 (No. 45)
Unique sites:
Sr 0.0000 0.0000 0.0000 x4
Ca 0.0000 0.0000 0.3462 x4
Ca 0.0000 0.5000 0.0994 x4
Ca 0.0000 0.5000 0.2510 x4
Ru 0.0000 0.0000 0.1756 x4
Ru 0.0000 0.5000 0.4214 x4
O 0.0000 0.0000 0.0943 x4
O 0.0000 0.0000 0.2576 x4
O 0.0000 0.5000 0.0061 x4
O 0.0000 0.5000 0.3397 x4
O 0.1833 0.3167 0.1752 x8
O 0.1915 0.1916 0.4200 x8

Main lines, sorted by position (2θ = 10–90°):
d [Å]  intensity  h k l
6.384  49  0 0 4
3.637  22  1 1 2
2.832  100  1 1 6
2.683  74  2 0 0
2.128  25  0 0 12
2.118  17  1 1 10
1.897  35  2 2 0
1.667  29  2 0 12
1.576  41  3 1 6
1.416  21  2 2 12